The following is a computed X-ray diffraction stick pattern of Sr2MgZn4Rh3. It was derived from DFT lattice parameters and positions (GGA-PBE), using a wavelength of 1.5418 Å.
No peak broadening, texture or thermal motion is included.

a = 4.200 Å, b = 4.200 Å, c = 11.382 Å
α = 90.00°, β = 90.00°, γ = 90.00°
Space group P-4m2 (No. 115)
One atom of each set of equivalent atoms:
Sr: 0.000 0.500 0.230
Mg: 0.000 0.000 0.500
Zn: 0.000 0.000 0.000
Zn: 0.000 0.500 0.646
Zn: 0.500 0.500 0.000
Rh: 0.000 0.500 0.870
Rh: 0.500 0.500 0.500

Largest 10 diffraction maxima, in order of falling intensity, 2θ from 10° to 90°:
| 2θ (°) | I (rel.) |
| --- | --- |
| 34.1 | 100 |
| 43.1 | 67 |
| 31.8 | 63 |
| 44.1 | 40 |
| 45.3 | 39 |
| 54.5 | 27 |
| 64.3 | 26 |
| 62.6 | 21 |
| 73.2 | 20 |
| 30.1 | 18 |


The following is a computed X-ray diffraction stick pattern of Mg2TaRh. It was derived from DFT lattice parameters and positions (GGA-PBE), using a wavelength of 1.5418 Å.
No peak broadening, texture or thermal motion is included.

a = 4.402 Å, b = 3.319 Å, c = 4.710 Å
α = 90.00°, β = 91.00°, γ = 90.00°
Space group P2/m (No. 10)
One atom of each set of equivalent atoms:
Mg: 0.000 0.000 0.000
Mg: 0.500 0.500 0.000
Ta: 0.000 0.500 0.500
Rh: 0.500 0.000 0.500

Largest 10 diffraction maxima, in order of falling intensity, 2θ from 10° to 90°:
| 2θ (°) | I (rel.) |
| --- | --- |
| 18.8 | 100 |
| 38.8 | 68 |
| 39.2 | 66 |
| 33.8 | 47 |
| 38.2 | 35 |
| 41.0 | 29 |
| 69.2 | 24 |
| 51.7 | 14 |
| 52.2 | 14 |
| 55.4 | 12 |


The following is a computed X-ray diffraction stick pattern of Tb2MgRh. It was derived from DFT lattice parameters and positions (GGA-PBE), using a wavelength of 1.5418 Å.
No peak broadening, texture or thermal motion is included.

a = 3.938 Å, b = 14.399 Å, c = 7.347 Å
α = 90.00°, β = 90.00°, γ = 90.00°
Space group Cmcm (No. 63)
One atom of each set of equivalent atoms:
Tb: 0.000 0.143 0.004
Mg: 0.000 0.492 0.750
Rh: 0.000 0.297 0.750

Largest 10 diffraction maxima, in order of falling intensity, 2θ from 10° to 90°:
| 2θ (°) | I (rel.) |
| --- | --- |
| 38.4 | 100 |
| 33.9 | 76 |
| 34.9 | 67 |
| 12.3 | 61 |
| 29.3 | 46 |
| 24.7 | 31 |
| 50.0 | 30 |
| 23.4 | 29 |
| 59.1 | 29 |
| 46.1 | 25 |


The following is a computed X-ray diffraction stick pattern of TbMg8Rh2. It was derived from DFT lattice parameters and positions (GGA-PBE), using a wavelength of 1.5418 Å.
No peak broadening, texture or thermal motion is included.

a = 7.998 Å, b = 12.124 Å, c = 5.199 Å
α = 90.00°, β = 104.36°, γ = 90.00°
Space group C2/m (No. 12)
One atom of each set of equivalent atoms:
Tb: 0.000 0.000 0.000
Mg: 0.000 0.268 0.000
Mg: 0.083 0.500 0.774
Mg: 0.200 0.130 0.578
Rh: 0.000 0.308 0.500

Largest 10 diffraction maxima, in order of falling intensity, 2θ from 10° to 90°:
| 2θ (°) | I (rel.) |
| --- | --- |
| 23.0 | 100 |
| 24.8 | 49 |
| 35.7 | 47 |
| 19.9 | 37 |
| 41.5 | 26 |
| 24.5 | 25 |
| 41.7 | 23 |
| 37.7 | 22 |
| 46.4 | 21 |
| 35.8 | 21 |


The following is a computed X-ray diffraction stick pattern of Tb3MgRh4. It was derived from DFT lattice parameters and positions (GGA-PBE), using a wavelength of 1.5418 Å.
No peak broadening, texture or thermal motion is included.

a = 4.7603 Å, b = 4.7603 Å, c = 23.3819 Å
α = 90.00°, β = 90.00°, γ = 120.00°
Space group R-3m (No. 166, hexagonal axes)
One atom of each set of equivalent atoms:
Tb: 0.0000 0.0000 0.0000
Tb: 0.0000 0.0000 0.2445
Mg: 0.0000 0.0000 0.5000
Rh: 0.0000 0.0000 0.1247
Rh: 0.0000 0.0000 0.3764

Largest 10 diffraction maxima, in order of falling intensity, 2θ from 10° to 90°:
| 2θ (°) | I (rel.) |
| --- | --- |
| 37.8 | 100 |
| 68.2 | 26 |
| 54.5 | 17 |
| 68.1 | 8 |
| 80.7 | 5 |
| 80.6 | 5 |
| 22.9 | 5 |
| 21.9 | 5 |
| 28.9 | 4 |
| 11.4 | 3 |


The following is a computed X-ray diffraction stick pattern of Tb7Mg2Rh2. It was derived from DFT lattice parameters and positions (GGA-PBE), using a wavelength of 1.5418 Å.
No peak broadening, texture or thermal motion is included.

a = 8.078 Å, b = 11.041 Å, c = 7.251 Å
α = 90.00°, β = 90.00°, γ = 90.00°
Space group Cmmm (No. 65)
One atom of each set of equivalent atoms:
Tb: 0.000 0.000 0.000
Tb: 0.000 0.500 0.240
Tb: 0.250 0.250 0.248
Mg: 0.174 0.000 0.500
Rh: 0.000 0.287 0.000

Largest 10 diffraction maxima, in order of falling intensity, 2θ from 10° to 90°:
| 2θ (°) | I (rel.) |
| --- | --- |
| 37.1 | 100 |
| 27.4 | 86 |
| 32.4 | 59 |
| 36.5 | 43 |
| 12.2 | 43 |
| 28.2 | 41 |
| 33.2 | 29 |
| 44.9 | 24 |
| 25.2 | 23 |
| 56.5 | 23 |


The following is a computed X-ray diffraction stick pattern of Tb8Mg2Rh. It was derived from DFT lattice parameters and positions (GGA-PBE), using a wavelength of 1.5418 Å.
No peak broadening, texture or thermal motion is included.

a = 17.435 Å, b = 5.525 Å, c = 7.039 Å
α = 90.00°, β = 111.23°, γ = 90.00°
Space group C2/m (No. 12)
One atom of each set of equivalent atoms:
Tb: 0.014 0.000 0.275
Tb: 0.101 0.500 0.907
Tb: 0.145 0.500 0.425
Tb: 0.193 0.000 0.750
Mg: 0.184 0.000 0.192
Rh: 0.000 0.500 0.500

Largest 10 diffraction maxima, in order of falling intensity, 2θ from 10° to 90°:
| 2θ (°) | I (rel.) |
| --- | --- |
| 33.9 | 100 |
| 32.4 | 88 |
| 31.9 | 73 |
| 35.0 | 55 |
| 30.8 | 40 |
| 30.5 | 38 |
| 29.7 | 29 |
| 23.0 | 28 |
| 28.1 | 22 |
| 58.8 | 21 |


The following is a computed X-ray diffraction stick pattern of MgTeRh. It was derived from DFT lattice parameters and positions (GGA-PBE), using a wavelength of 1.5418 Å.
No peak broadening, texture or thermal motion is included.

a = 9.116 Å, b = 4.369 Å, c = 6.287 Å
α = 90.00°, β = 90.00°, γ = 90.00°
Space group Pnma (No. 62)
One atom of each set of equivalent atoms:
Mg: 0.140 0.250 0.245
Te: 0.129 0.250 0.772
Rh: 0.102 0.750 0.534

Largest 10 diffraction maxima, in order of falling intensity, 2θ from 10° to 90°:
| 2θ (°) | I (rel.) |
| --- | --- |
| 40.5 | 100 |
| 24.1 | 50 |
| 17.1 | 41 |
| 26.7 | 31 |
| 41.3 | 28 |
| 39.5 | 27 |
| 38.8 | 24 |
| 24.8 | 18 |
| 58.5 | 17 |
| 74.8 | 16 |


The following is a computed X-ray diffraction stick pattern of Mg2TeRh. It was derived from DFT lattice parameters and positions (GGA-PBE), using a wavelength of 1.5418 Å.
No peak broadening, texture or thermal motion is included.

a = 6.864 Å, b = 5.895 Å, c = 8.734 Å
α = 90.00°, β = 90.00°, γ = 90.00°
Space group Aem2 (No. 39)
One atom of each set of equivalent atoms:
Mg: 0.096 0.250 0.000
Mg: 0.302 0.250 0.346
Te: 0.318 0.250 0.690
Rh: 0.000 0.000 0.248

Largest 10 diffraction maxima, in order of falling intensity, 2θ from 10° to 90°:
| 2θ (°) | I (rel.) |
| --- | --- |
| 20.3 | 100 |
| 22.3 | 77 |
| 36.8 | 59 |
| 39.1 | 59 |
| 45.6 | 45 |
| 12.9 | 37 |
| 40.3 | 36 |
| 31.9 | 36 |
| 33.1 | 34 |
| 44.7 | 32 |


The following is a computed X-ray diffraction stick pattern of ThMg2Rh2. It was derived from DFT lattice parameters and positions (GGA-PBE), using a wavelength of 1.5418 Å.
No peak broadening, texture or thermal motion is included.

a = 4.6875 Å, b = 4.6875 Å, c = 5.5743 Å
α = 90.00°, β = 90.00°, γ = 120.00°
Space group P-3m1 (No. 164)
One atom of each set of equivalent atoms:
Th: 0.0000 0.0000 0.0000
Mg: 0.3333 0.6667 0.6254
Rh: 0.3333 0.6667 0.1419

Largest 10 diffraction maxima, in order of falling intensity, 2θ from 10° to 90°:
| 2θ (°) | I (rel.) |
| --- | --- |
| 15.9 | 100 |
| 38.4 | 79 |
| 27.2 | 71 |
| 39.2 | 70 |
| 41.8 | 55 |
| 70.0 | 25 |
| 56.0 | 25 |
| 54.3 | 23 |
| 47.7 | 16 |
| 81.3 | 15 |


The following is a computed X-ray diffraction stick pattern of ThMg2Zn2Rh. It was derived from DFT lattice parameters and positions (GGA-PBE), using a wavelength of 1.5418 Å.
No peak broadening, texture or thermal motion is included.

a = 3.985 Å, b = 3.985 Å, c = 18.000 Å
α = 90.00°, β = 90.00°, γ = 90.00°
Space group I4/mmm (No. 139)
One atom of each set of equivalent atoms:
Th: 0.000 0.000 0.000
Mg: 0.000 0.500 0.250
Zn: 0.000 0.000 0.363
Rh: 0.000 0.000 0.500

Largest 10 diffraction maxima, in order of falling intensity, 2θ from 10° to 90°:
| 2θ (°) | I (rel.) |
| --- | --- |
| 33.3 | 100 |
| 31.8 | 78 |
| 26.9 | 76 |
| 44.1 | 70 |
| 45.5 | 45 |
| 19.7 | 43 |
| 52.0 | 35 |
| 62.2 | 31 |
| 29.8 | 30 |
| 40.1 | 29 |


The following is a computed X-ray diffraction stick pattern of MgTlRh. It was derived from DFT lattice parameters and positions (GGA-PBE), using a wavelength of 1.5418 Å.
No peak broadening, texture or thermal motion is included.

a = 6.018 Å, b = 6.402 Å, c = 6.686 Å
α = 90.00°, β = 90.00°, γ = 90.00°
Space group Ima2 (No. 46)
One atom of each set of equivalent atoms:
Mg: 0.250 0.249 0.000
Tl: 0.250 0.749 0.003
Rh: 0.000 0.000 0.251

Largest 10 diffraction maxima, in order of falling intensity, 2θ from 10° to 90°:
| 2θ (°) | I (rel.) |
| --- | --- |
| 20.3 | 100 |
| 39.0 | 71 |
| 40.3 | 64 |
| 41.2 | 61 |
| 33.7 | 57 |
| 19.2 | 45 |
| 70.9 | 24 |
| 72.6 | 23 |
| 53.1 | 22 |
| 75.4 | 20 |